1.
Structure and computed powder X-ray diffraction pattern of ThTe2Pd3 (a PBE-relaxed structure; copper Kα).
Peak positions follow from Bragg's law for the DFT cell and can differ from measured ones.

The 6 most intense peaks (2θ from 15° to 90°), in order of rising 2θ:
2θ (°)	d [Å]	Rel. int.
32.27	2.774	89.6
35.86	2.505	34.4
38.52	2.337	100.0
42.84	2.111	53.1
57.06	1.614	35.9
75.59	1.258	27.6

Atomic structure:
```
ThTe2Pd3
1.0
4.222 0.000 0.000
0.000 4.222 0.000
0.000 0.000 7.514
Th Te Pd
1 2 3
Cartesian
0.000 0.000 0.000 Th
0.000 2.111 5.041 Te
2.111 0.000 2.472 Te
0.000 2.111 2.130 Pd
2.111 0.000 5.383 Pd
2.111 2.111 0.000 Pd
```

***

2.
Structure and computed powder X-ray diffraction pattern of Tl2Te4Pd3 (a PBE-relaxed structure; copper Kα).
Peak positions follow from Bragg's law for the DFT cell and can differ from measured ones.

The 6 most intense peaks (2θ from 15° to 90°), in order of rising 2θ:
2θ (°)	d [Å]	Rel. int.
26.83	3.323	58.1
27.83	3.205	51.6
31.51	2.839	30.7
33.45	2.679	100.0
39.79	2.265	41.3
53.25	1.720	44.5

Atomic structure:
```
Tl2Te4Pd3
1.0
0.000 6.116 6.400
3.208 0.000 6.400
3.208 6.116 0.000
Tl Te Pd
2 4 3
Cartesian
3.208 6.116 1.631 Tl
3.208 6.116 11.168 Tl
3.208 4.168 4.597 Te
3.208 4.168 8.202 Te
3.208 8.064 4.597 Te
3.208 8.064 8.202 Te
1.604 3.058 0.000 Pd
1.604 3.058 6.400 Pd
3.208 6.116 6.400 Pd
```

***

3.
Structure and computed powder X-ray diffraction pattern of TmTlTe3Pd (a PBE-relaxed structure; copper Kα).
Peak positions follow from Bragg's law for the DFT cell and can differ from measured ones.

The 6 most intense peaks (2θ from 15° to 90°), in order of rising 2θ:
2θ (°)	d [Å]	Rel. int.
28.01	3.186	100.0
31.76	2.817	79.8
33.88	2.646	30.0
34.33	2.612	31.0
38.60	2.333	46.4
43.14	2.097	32.0

Atomic structure:
```
TmTlTe3Pd
1.0
2.097 -8.319 0.000
2.097 8.319 0.000
0.000 0.000 10.451
Tm Tl Te Pd
2 2 6 2
Cartesian
0.000 0.000 0.000 Tm
0.000 0.000 5.226 Tm
2.097 4.305 7.838 Tl
2.097 -4.305 2.613 Tl
2.097 6.812 2.613 Te
2.097 2.113 0.722 Te
2.097 2.113 4.504 Te
2.097 -2.113 5.947 Te
2.097 -2.113 9.729 Te
2.097 -6.812 7.838 Te
2.097 0.230 2.613 Pd
2.097 -0.230 7.838 Pd
```

***

4.
Structure and computed powder X-ray diffraction pattern of ZrTe2Pd2 (a PBE-relaxed structure; copper Kα).
Peak positions follow from Bragg's law for the DFT cell and can differ from measured ones.

The 6 most intense peaks (2θ from 15° to 90°), in order of rising 2θ:
2θ (°)	d [Å]	Rel. int.
29.88	2.990	57.7
35.36	2.539	100.0
39.28	2.293	63.4
41.77	2.162	62.8
47.34	1.920	53.5
63.15	1.472	30.7

Atomic structure:
```
ZrTe2Pd2
1.0
-1.920 1.920 7.148
1.920 -1.920 7.148
1.920 1.920 -7.148
Zr Te Pd
1 2 2
Cartesian
0.000 0.000 0.000 Zr
0.000 0.000 5.568 Te
0.000 0.000 8.729 Te
1.920 0.000 3.574 Pd
0.000 1.920 3.574 Pd
```

***

5.
Structure and computed powder X-ray diffraction pattern of Th2Tl2Pd (a PBE-relaxed structure; copper Kα).
Peak positions follow from Bragg's law for the DFT cell and can differ from measured ones.

The 6 most intense peaks (2θ from 15° to 90°), in order of rising 2θ:
2θ (°)	d [Å]	Rel. int.
26.96	3.307	25.4
30.66	2.916	100.0
36.65	2.452	31.2
36.78	2.444	27.0
38.81	2.320	32.3
40.98	2.203	28.8

Atomic structure:
```
Th2Tl2Pd
1.0
6.177 0.000 0.000
0.000 10.015 0.000
0.000 0.000 4.405
Th Tl Pd
4 4 2
Cartesian
0.820 1.798 0.000 Th
2.268 6.806 0.000 Th
3.909 3.209 0.000 Th
5.356 8.217 0.000 Th
1.484 9.167 2.203 Tl
1.604 4.160 2.203 Tl
4.572 5.855 2.203 Tl
4.693 0.848 2.203 Tl
0.000 5.007 0.000 Pd
3.088 0.000 0.000 Pd
```

***

6.
Structure and computed powder X-ray diffraction pattern of Th2Zn15Pd2 (a PBE-relaxed structure; copper Kα).
Peak positions follow from Bragg's law for the DFT cell and can differ from measured ones.

The 6 most intense peaks (2θ from 15° to 90°), in order of rising 2θ:
2θ (°)	d [Å]	Rel. int.
28.31	3.152	41.2
34.36	2.610	60.7
35.59	2.522	47.9
39.89	2.260	89.2
40.18	2.244	100.0
41.01	2.201	74.6

Atomic structure:
```
Th2Zn15Pd2
1.0
4.520 2.610 4.398
-4.520 2.610 4.398
0.000 -5.220 4.398
Th Zn Pd
2 15 2
Cartesian
0.000 0.000 2.123 Th
0.000 0.000 11.070 Th
-2.260 -1.305 4.398 Zn
0.000 -2.655 4.214 Zn
-2.299 1.327 4.214 Zn
-1.287 -2.230 6.597 Zn
-2.575 0.000 6.597 Zn
-2.299 -1.327 8.979 Zn
-2.260 1.305 8.796 Zn
1.287 -2.230 6.597 Zn
0.000 2.610 4.398 Zn
-1.287 2.230 6.597 Zn
2.299 1.327 4.214 Zn
2.575 0.000 6.597 Zn
1.287 2.230 6.597 Zn
2.299 -1.327 8.979 Zn
0.000 2.655 8.979 Zn
0.000 0.000 5.118 Pd
0.000 0.000 8.075 Pd
```

***

7.
Structure and computed powder X-ray diffraction pattern of Tl2Pd3 (a PBE-relaxed structure; copper Kα).
Peak positions follow from Bragg's law for the DFT cell and can differ from measured ones.

The 6 most intense peaks (2θ from 15° to 90°), in order of rising 2θ:
2θ (°)	d [Å]	Rel. int.
26.25	3.395	30.4
31.18	2.869	30.6
38.73	2.325	35.0
41.20	2.191	100.0
65.02	1.434	23.4
78.32	1.221	27.0

Atomic structure:
```
Tl2Pd3
1.0
5.738 0.000 0.000
-2.869 4.969 0.000
0.000 0.000 13.950
Tl Pd
8 12
Cartesian
0.000 0.000 3.487 Tl
0.000 0.000 10.462 Tl
0.000 3.313 1.249 Tl
0.000 3.313 5.726 Tl
0.000 3.313 10.462 Tl
2.869 1.656 3.487 Tl
2.869 1.656 8.224 Tl
2.869 1.656 12.701 Tl
0.000 1.646 8.176 Pd
0.000 1.646 12.748 Pd
-1.443 4.146 8.176 Pd
-1.443 4.146 12.748 Pd
1.426 0.823 1.201 Pd
1.426 0.823 5.773 Pd
1.443 4.146 8.176 Pd
1.443 4.146 12.748 Pd
4.312 0.823 1.201 Pd
4.312 0.823 5.773 Pd
2.869 3.323 1.201 Pd
2.869 3.323 5.773 Pd
```

***

8.
Structure and computed powder X-ray diffraction pattern of TlPd15 (a PBE-relaxed structure; copper Kα).
Peak positions follow from Bragg's law for the DFT cell and can differ from measured ones.

The 6 most intense peaks (2θ from 15° to 90°), in order of rising 2θ:
2θ (°)	d [Å]	Rel. int.
39.44	2.285	100.0
39.78	2.266	97.9
45.76	1.983	29.7
46.22	1.964	76.2
67.07	1.396	38.9
80.79	1.190	25.5

Atomic structure:
```
TlPd15
1.0
5.521 0.000 0.000
0.000 2.795 0.000
-0.001 0.000 43.624
Tl Pd
2 30
Cartesian
0.690 0.699 6.701 Tl
4.830 2.096 36.923 Tl
0.683 0.699 30.621 Pd
0.683 0.699 34.634 Pd
0.690 0.699 11.000 Pd
0.690 0.699 14.973 Pd
0.689 0.699 18.877 Pd
0.688 0.699 22.791 Pd
0.688 0.699 26.694 Pd
2.065 2.096 8.990 Pd
2.065 2.096 13.004 Pd
2.069 2.096 16.930 Pd
2.068 2.096 20.831 Pd
2.069 2.096 24.744 Pd
2.069 2.096 28.655 Pd
2.069 2.096 32.590 Pd
2.069 2.096 36.638 Pd
3.451 0.699 6.987 Pd
3.451 0.699 11.034 Pd
3.451 0.699 14.970 Pd
3.451 0.699 18.880 Pd
3.452 0.699 22.793 Pd
3.451 0.699 26.695 Pd
3.455 0.699 30.620 Pd
3.455 0.699 34.635 Pd
4.832 2.096 16.930 Pd
4.832 2.096 20.833 Pd
4.831 2.096 24.747 Pd
4.830 2.096 28.652 Pd
4.830 2.096 32.624 Pd
4.837 2.096 8.990 Pd
4.837 2.096 13.004 Pd
```